Na5Mn2PC4O16: calculated powder diffractogram (copper Kα), based on the PBE+U geometry in the Materials Project.
Neutral-atom scattering factors, no anomalous dispersion.

The 10 most intense peaks (10 to 80 degrees two-theta), by angle:
two_theta, intensity
10.80, 89.7
20.56, 70.6
20.81, 92.5
20.95, 62.9
32.39, 85.7
32.85, 100.0
33.16, 70.8
35.60, 47.2
35.77, 40.4
36.07, 43.7

Structure:
abc: 10.090 10.044 9.960
angles: 60.58 60.12 59.30
Sites, in units of the cell vectors:
Na1 0.205 0.205 0.795
Na2 0.209 0.791 0.209
Na3 0.209 0.791 0.791
Na4 0.540 0.960 0.960
Na5 0.543 0.543 0.957
Na6 0.791 0.209 0.209
Na7 0.791 0.209 0.791
Na8 0.795 0.795 0.205
Na9 0.957 0.957 0.543
Na10 0.960 0.540 0.540
Mn1 0.370 0.377 0.876
Mn2 0.377 0.370 0.377
Mn3 0.377 0.876 0.377
Mn4 0.876 0.377 0.370
P1 0.000 0.000 0.000
P2 0.750 0.750 0.750
C1 0.153 0.160 0.524
C2 0.160 0.153 0.164
C3 0.164 0.524 0.160
C4 0.228 0.588 0.593
C5 0.524 0.164 0.153
C6 0.588 0.228 0.591
C7 0.591 0.593 0.588
C8 0.593 0.591 0.228
O1 0.012 0.186 0.522
O2 0.017 0.266 0.190
O3 0.023 0.530 0.273
O4 0.175 0.273 0.530
O5 0.186 0.012 0.280
O6 0.190 0.526 0.017
O7 0.190 0.934 0.939
O8 0.219 0.729 0.573
O9 0.223 0.566 0.476
O10 0.239 0.467 0.726
O11 0.266 0.017 0.526
O12 0.273 0.175 0.023
O13 0.280 0.522 0.186
O14 0.467 0.239 0.568
O15 0.476 0.735 0.223
O16 0.479 0.573 0.729
O17 0.522 0.280 0.012
O18 0.526 0.190 0.266
O19 0.530 0.023 0.175
O20 0.561 0.812 0.819
O21 0.566 0.223 0.735
O22 0.568 0.726 0.467
O23 0.573 0.479 0.219
O24 0.726 0.568 0.239
O25 0.729 0.219 0.479
O26 0.735 0.476 0.566
O27 0.808 0.819 0.812
O28 0.812 0.561 0.808
O29 0.819 0.808 0.561
O30 0.934 0.190 0.937
O31 0.937 0.939 0.934
O32 0.939 0.937 0.190

Na2MnPCO7: calculated powder diffractogram (copper Kα), based on the PBE+U geometry in the Materials Project.
Neutral-atom scattering factors, no anomalous dispersion.

The 10 most intense peaks (10 to 80 degrees two-theta), by angle:
two_theta, intensity
16.40, 38.6
16.55, 41.9
19.57, 30.7
20.04, 35.5
26.03, 63.0
26.36, 100.0
32.96, 27.1
33.13, 67.0
34.59, 71.2
54.27, 34.3

Structure:
abc: 6.762 10.171 10.376
angles: 60.95 89.37 89.24
Sites, in units of the cell vectors:
Na1 0.000 0.000 0.000
Na2 0.009 0.984 0.510
Na3 0.477 0.985 0.512
Na4 0.487 0.002 0.000
Na5 0.501 0.490 0.997
Na6 0.732 0.325 0.341
Na7 0.980 0.487 0.524
Na8 0.990 0.491 0.000
Mn1 0.248 0.590 0.195
Mn2 0.255 0.588 0.687
Mn3 0.742 0.886 0.326
Mn4 0.744 0.889 0.823
P1 0.242 0.819 0.324
P2 0.245 0.819 0.823
P3 0.745 0.663 0.193
P4 0.746 0.659 0.698
C1 0.241 0.313 0.357
C2 0.242 0.313 0.856
C3 0.743 0.170 0.162
C4 0.745 0.170 0.654
O1 0.055 0.916 0.309
O2 0.057 0.912 0.811
O3 0.231 0.404 0.412
O4 0.235 0.667 0.468
O5 0.240 0.172 0.429
O6 0.240 0.173 0.933
O7 0.243 0.382 0.711
O8 0.244 0.666 0.969
O9 0.244 0.787 0.189
O10 0.245 0.407 0.908
O11 0.246 0.785 0.690
O12 0.253 0.387 0.210
O13 0.430 0.910 0.314
O14 0.431 0.910 0.812
O15 0.559 0.567 0.721
O16 0.563 0.568 0.204
O17 0.740 0.092 0.309
O18 0.741 0.080 0.596
O19 0.742 0.087 0.099
O20 0.742 0.095 0.801
O21 0.742 0.813 0.553
O22 0.745 0.817 0.049
O23 0.746 0.312 0.099
O24 0.750 0.697 0.326
O25 0.752 0.309 0.580
O26 0.752 0.695 0.832
O27 0.927 0.563 0.207
O28 0.933 0.568 0.708

NaMnPCO7: calculated powder diffractogram (copper Kα), based on the PBE+U geometry in the Materials Project.
Neutral-atom scattering factors, no anomalous dispersion.

The 10 most intense peaks (10 to 80 degrees two-theta), by angle:
two_theta, intensity
17.15, 100.0
19.33, 55.5
19.99, 61.1
22.24, 51.4
24.57, 47.4
25.44, 73.1
28.50, 99.4
34.58, 54.7
37.62, 36.5
44.50, 35.7

Structure:
abc: 8.131 8.146 9.161
angles: 91.36 91.49 100.67
Sites, in units of the cell vectors:
Na1 0.146 0.101 0.255
Na2 0.150 0.604 0.745
Na3 0.850 0.396 0.255
Na4 0.854 0.899 0.745
Mn1 0.239 0.988 0.845
Mn2 0.274 0.522 0.160
Mn3 0.726 0.478 0.840
Mn4 0.761 0.012 0.155
P1 0.017 0.269 0.934
P2 0.485 0.237 0.067
P3 0.515 0.763 0.933
P4 0.983 0.731 0.066
C1 0.240 0.486 0.421
C2 0.263 0.008 0.582
C3 0.737 0.992 0.418
C4 0.760 0.514 0.579
O1 0.059 0.805 0.923
O2 0.075 0.132 0.837
O3 0.111 0.668 0.168
O4 0.144 0.392 0.316
O5 0.148 0.897 0.647
O6 0.164 0.415 0.975
O7 0.222 0.466 0.552
O8 0.276 0.019 0.449
O9 0.339 0.089 0.026
O10 0.352 0.600 0.360
O11 0.359 0.104 0.681
O12 0.381 0.823 0.835
O13 0.417 0.359 0.172
O14 0.443 0.685 0.073
O15 0.557 0.315 0.927
O16 0.583 0.641 0.828
O17 0.619 0.177 0.165
O18 0.641 0.896 0.319
O19 0.648 0.400 0.640
O20 0.661 0.911 0.974
O21 0.724 0.981 0.551
O22 0.778 0.534 0.448
O23 0.836 0.585 0.025
O24 0.852 0.103 0.353
O25 0.856 0.608 0.684
O26 0.889 0.332 0.832
O27 0.925 0.868 0.163
O28 0.941 0.195 0.077

Na4Mn2PC4O16: calculated powder diffractogram (copper Kα), based on the PBE+U geometry in the Materials Project.
Neutral-atom scattering factors, no anomalous dispersion.

The 10 most intense peaks (10 to 80 degrees two-theta), by angle:
two_theta, intensity
10.90, 100.0
17.59, 41.9
18.01, 43.6
20.69, 55.8
20.80, 87.5
21.40, 45.5
32.57, 69.5
32.80, 40.4
33.97, 49.4
35.62, 34.9

Structure:
abc: 10.082 9.897 9.857
angles: 61.38 59.51 59.11
Sites, in units of the cell vectors:
Na1 0.081 0.081 0.669
Na2 0.086 0.664 0.664
Na3 0.331 0.331 0.919
Na4 0.336 0.914 0.914
Na5 0.664 0.086 0.086
Na6 0.669 0.669 0.081
Na7 0.914 0.336 0.336
Na8 0.919 0.919 0.331
Mn1 0.000 0.500 0.500
Mn2 0.500 0.000 0.500
Mn3 0.500 0.500 0.000
Mn4 0.500 0.500 0.500
P1 0.125 0.125 0.125
P2 0.875 0.875 0.875
C1 0.275 0.288 0.643
C2 0.288 0.275 0.294
C3 0.294 0.643 0.288
C4 0.357 0.706 0.725
C5 0.643 0.294 0.275
C6 0.706 0.357 0.712
C7 0.712 0.725 0.706
C8 0.725 0.712 0.357
O1 0.059 0.066 0.315
O2 0.060 0.315 0.066
O3 0.066 0.059 0.060
O4 0.140 0.315 0.632
O5 0.141 0.390 0.321
O6 0.150 0.655 0.398
O7 0.297 0.398 0.655
O8 0.315 0.060 0.059
O9 0.315 0.140 0.413
O10 0.321 0.648 0.141
O11 0.345 0.850 0.703
O12 0.352 0.679 0.610
O13 0.368 0.587 0.860
O14 0.390 0.141 0.648
O15 0.398 0.297 0.150
O16 0.413 0.632 0.315
O17 0.587 0.368 0.685
O18 0.602 0.703 0.850
O19 0.610 0.859 0.352
O20 0.632 0.413 0.140
O21 0.648 0.321 0.390
O22 0.655 0.150 0.297
O23 0.679 0.352 0.859
O24 0.685 0.860 0.587
O25 0.685 0.940 0.941
O26 0.703 0.602 0.345
O27 0.850 0.345 0.602
O28 0.859 0.610 0.679
O29 0.860 0.685 0.368
O30 0.934 0.941 0.940
O31 0.940 0.685 0.934
O32 0.941 0.934 0.685